# 1
# NbVCd
Theoretical XRD peak list, CuKα. Input: a DFT-relaxed cell (GGA-PBE, Alexandria).
Intensities are scaled so that the largest is 100.

Largest 6 diffraction maxima, sorted by position, 2θ = 10–90°:
- 38.2 deg, I 23, (0 6 0)
- 38.7 deg, I 100, (1 3 1)
- 40.7 deg, I 23, (0 0 2)
- 57.0 deg, I 14, (0 6 2)
- 69.3 deg, I 12, (1 9 1)
- 72.7 deg, I 14, (1 3 3)

Structure:
Lattice parameters (Å, degrees): 3.3491 14.1480 4.4376 90.00 90.00 90.00
Space group Cmcm (No. 63)
One atom of each set of equivalent atoms:
Nb  0.0000  0.0782  0.2500 [4 per cell]
V  0.0000  0.4309  0.2500 [4 per cell]
Cd  0.0000  0.2387  0.7500 [4 per cell]



# 2
# NbVCd
Theoretical XRD peak list, CuKα. Input: a DFT-relaxed cell (GGA-PBE, Alexandria).
Intensities are scaled so that the largest is 100.

Largest 6 diffraction maxima, sorted by position, 2θ = 10–90°:
- 31.0 deg, I 19, (1 1 -1)
- 37.9 deg, I 51, (2 0 2)
- 38.1 deg, I 100, (1 1 -2)
- 38.6 deg, I 45, (4 0 -2)
- 39.8 deg, I 97, (3 1 0)
- 57.4 deg, I 16, (0 2 0)

Structure:
Lattice parameters (Å, degrees): 10.1218 3.2126 6.9638 90.00 109.12 90.00
Space group Cm (No. 8)
One atom of each set of equivalent atoms:
Nb  0.0000  0.0000  0.0000 [2 per cell]
Nb  0.1730  0.5000  0.8540 [2 per cell]
V  0.3556  0.0000  0.7051 [2 per cell]
V  0.4982  0.5000  0.5839 [2 per cell]
Cd  0.1580  0.5000  0.3903 [2 per cell]
Cd  0.3388  0.0000  0.2276 [2 per cell]



# 3
# NbVCd
Theoretical XRD peak list, CuKα. Input: a DFT-relaxed cell (GGA-PBE, Alexandria).
Intensities are scaled so that the largest is 100.

Largest 6 diffraction maxima, sorted by position, 2θ = 10–90°:
- 38.4 deg, I 24, (0 6 0)
- 38.6 deg, I 100, (1 3 1)
- 40.9 deg, I 21, (2 0 0)
- 57.3 deg, I 14, (2 6 0)
- 69.5 deg, I 14, (1 9 1)
- 73.0 deg, I 14, (3 3 1)

Structure:
Lattice parameters (Å, degrees): 4.4094 14.0808 3.3889 90.00 90.00 90.00
Space group Cmmm (No. 65)
One atom of each set of equivalent atoms:
Nb  0.0000  0.1734  0.0000 [4 per cell]
V  0.0000  0.3219  0.5000 [4 per cell]
Cd  0.0000  0.0000  0.5000 [2 per cell]
Cd  0.0000  0.5000  0.0000 [2 per cell]